# Hf4Bi2PN
Computed X-ray powder pattern, Cu Ka. Input: a GGA-PBE-relaxed structure.
No peak broadening, texture or thermal motion is included.

```
data_Hf4Bi2PN
_symmetry_space_group_name_H-M 'P -3 m 1'
_symmetry_Int_Tables_number 164
_symmetry_space_group_name_Hall '-P 3 2"'
_cell_length_a 3.6195
_cell_length_b 3.6195
_cell_length_c 13.7560
_cell_angle_alpha 90.00
_cell_angle_beta 90.00
_cell_angle_gamma 120.00
loop_
_atom_site_label
_atom_site_fract_x
_atom_site_fract_y
_atom_site_fract_z
Hf1 0.3333 0.6667 0.0778
Hf2 0.3333 0.6667 0.3978
Bi1 0.3333 0.6667 0.7616
P1 0.0000 0.0000 0.5000
N1 0.0000 0.0000 0.0000
```

The 10 most intense peaks (10° ≤ 2θ ≤ 90°), low angle first:
| h k l | 2θ/deg | Rel. int. |
| --- | --- | --- |
| 1 0 0 | 28.47 | 247 |
| 1 0 3 | 34.66 | 1000 |
| 0 0 6 | 39.30 | 120 |
| 0 1 6 | 49.24 | 126 |
| 1 1 0 | 50.43 | 267 |
| 0 2 3 | 62.64 | 185 |
| 1 1 6 | 65.74 | 163 |
| 1 0 9 | 68.27 | 85 |
| 2 1 3 | 84.46 | 174 |
| 0 2 9 | 89.58 | 46 |



# ZnPt15
Computed X-ray powder pattern, Cu Ka. Input: a GGA-PBE-relaxed structure.
No peak broadening, texture or thermal motion is included.

```
data_ZnPt15
_symmetry_space_group_name_H-M 'P m m a'
_symmetry_Int_Tables_number 51
_symmetry_space_group_name_Hall '-P 2a 2a'
_cell_length_a 3.9393
_cell_length_b 3.9369
_cell_length_c 45.5193
_cell_angle_alpha 90.00
_cell_angle_beta 90.00
_cell_angle_gamma 90.00
loop_
_atom_site_label
_atom_site_fract_x
_atom_site_fract_y
_atom_site_fract_z
Zn1 0.2500 0.0000 0.1690
Pt1 0.2500 0.0000 0.2574
Pt2 0.2500 0.0000 0.3452
Pt3 0.2500 0.0000 0.4338
Pt4 0.2500 0.0000 0.5220
Pt5 0.2500 0.0000 0.6105
Pt6 0.2500 0.0000 0.6989
Pt7 0.2500 0.0000 0.7878
Pt8 0.2500 0.5000 0.2123
Pt9 0.2500 0.5000 0.3011
Pt10 0.2500 0.5000 0.3896
Pt11 0.2500 0.5000 0.4779
Pt12 0.2500 0.5000 0.5663
Pt13 0.2500 0.5000 0.6545
Pt14 0.2500 0.5000 0.7437
Pt15 0.2500 0.5000 0.8298
```

The 10 most intense peaks (10° ≤ 2θ ≤ 90°), low angle first:
| h k l | 2θ/deg | Rel. int. |
| --- | --- | --- |
| 1 1 11 | 38.99 | 1000 |
| 1 1 12 | 40.17 | 500 |
| 0 0 23 | 45.85 | 151 |
| 2 0 0 | 46.10 | 424 |
| 2 0 22 | 65.43 | 134 |
| 2 0 23 | 67.05 | 197 |
| 2 2 0 | 67.25 | 158 |
| 1 1 34 | 79.42 | 150 |
| 3 1 11 | 80.55 | 251 |
| 3 1 12 | 81.32 | 134 |



# DyYHo2
Computed X-ray powder pattern, Cu Ka. Input: a GGA-PBE-relaxed structure.
No peak broadening, texture or thermal motion is included.

```
data_DyYHo2
_symmetry_space_group_name_H-M 'A m a 2'
_symmetry_Int_Tables_number 40
_symmetry_space_group_name_Hall 'A 2 -2a'
_cell_length_a 5.6301
_cell_length_b 12.4942
_cell_length_c 7.2138
_cell_angle_alpha 90.00
_cell_angle_beta 90.00
_cell_angle_gamma 90.00
loop_
_atom_site_label
_atom_site_fract_x
_atom_site_fract_y
_atom_site_fract_z
Dy1 0.2500 0.1667 0.0000
Y1 0.2500 0.4168 0.2493
Ho1 0.2500 0.1664 0.4997
Ho2 0.2500 0.4168 0.7504
```

The 10 most intense peaks (10° ≤ 2θ ≤ 90°), low angle first:
| h k l | 2θ/deg | Rel. int. |
| --- | --- | --- |
| 0 4 0 | 28.58 | 239 |
| 2 0 0 | 31.79 | 241 |
| 1 4 0 | 32.79 | 1000 |
| 2 4 0 | 43.27 | 155 |
| 0 6 2 | 50.62 | 197 |
| 3 4 0 | 57.27 | 204 |
| 2 6 2 | 61.02 | 224 |
| 1 8 0 | 61.63 | 163 |
| 1 10 2 | 83.70 | 139 |
| 4 6 2 | 88.02 | 83 |



# LaPrZn4
Computed X-ray powder pattern, Cu Ka. Input: a GGA-PBE-relaxed structure.
No peak broadening, texture or thermal motion is included.

```
data_LaPrZn4
_symmetry_space_group_name_H-M 'I m m 2'
_symmetry_Int_Tables_number 44
_symmetry_space_group_name_Hall 'I 2 -2'
_cell_length_a 4.6299
_cell_length_b 7.4284
_cell_length_c 7.6951
_cell_angle_alpha 90.00
_cell_angle_beta 90.00
_cell_angle_gamma 90.00
loop_
_atom_site_label
_atom_site_fract_x
_atom_site_fract_y
_atom_site_fract_z
La1 0.0000 0.0000 0.0000
Pr1 0.0000 0.5000 0.9381
Zn1 0.0000 0.1983 0.6328
Zn2 0.0000 0.3006 0.3015
```

The 10 most intense peaks (10° ≤ 2θ ≤ 90°), low angle first:
| h k l | 2θ/deg | Rel. int. |
| --- | --- | --- |
| 1 0 1 | 22.41 | 145 |
| 1 1 2 | 32.57 | 234 |
| 1 2 1 | 33.04 | 1000 |
| 0 2 2 | 33.54 | 434 |
| 0 3 1 | 38.18 | 147 |
| 2 0 0 | 38.90 | 336 |
| 1 0 3 | 40.19 | 517 |
| 2 2 2 | 52.28 | 243 |
| 1 3 4 | 64.56 | 143 |
| 3 2 1 | 66.75 | 126 |



# Dy5Tm2Ni2Te2
Computed X-ray powder pattern, Cu Ka. Input: a GGA-PBE-relaxed structure.
No peak broadening, texture or thermal motion is included.

```
data_Dy5Tm2Ni2Te2
_symmetry_space_group_name_H-M 'I m m 2'
_symmetry_Int_Tables_number 44
_symmetry_space_group_name_Hall 'I 2 -2'
_cell_length_a 3.8373
_cell_length_b 15.6288
_cell_length_c 9.5146
_cell_angle_alpha 90.00
_cell_angle_beta 90.00
_cell_angle_gamma 90.00
loop_
_atom_site_label
_atom_site_fract_x
_atom_site_fract_y
_atom_site_fract_z
Dy1 0.0000 0.0000 0.0000
Dy2 0.0000 0.1324 0.5813
Dy3 0.0000 0.3156 0.3790
Tm1 0.0000 0.3526 0.7311
Ni1 0.0000 0.2384 0.0711
Te1 0.0000 0.0000 0.3352
Te2 0.0000 0.5000 0.2344
```

The 10 most intense peaks (10° ≤ 2θ ≤ 90°), low angle first:
| h k l | 2θ/deg | Rel. int. |
| --- | --- | --- |
| 1 3 0 | 28.90 | 234 |
| 0 5 1 | 30.09 | 213 |
| 1 1 2 | 30.47 | 508 |
| 0 3 3 | 33.07 | 791 |
| 1 4 1 | 34.08 | 1000 |
| 0 6 0 | 34.43 | 236 |
| 1 3 2 | 34.62 | 493 |
| 2 0 0 | 47.38 | 286 |
| 1 7 2 | 51.08 | 238 |
| 2 3 3 | 58.99 | 303 |



# Y2HoFeCo6Ni2
Computed X-ray powder pattern, Cu Ka. Input: a GGA-PBE-relaxed structure.
No peak broadening, texture or thermal motion is included.

```
data_Y2HoFeCo6Ni2
_symmetry_space_group_name_H-M 'R -3 m'
_symmetry_Int_Tables_number 166
_symmetry_space_group_name_Hall '-R 3 2"'
_cell_length_a 4.9804
_cell_length_b 4.9804
_cell_length_c 24.1708
_cell_angle_alpha 90.00
_cell_angle_beta 90.00
_cell_angle_gamma 120.00
loop_
_atom_site_label
_atom_site_fract_x
_atom_site_fract_y
_atom_site_fract_z
Y1 0.0000 0.0000 0.1390
Ho1 0.0000 0.0000 0.0000
Fe1 0.0000 0.0000 0.5000
Co1 0.0016 0.5008 0.9182
Ni1 0.0000 0.0000 0.3336
```

The 10 most intense peaks (10° ≤ 2θ ≤ 90°), low angle first:
| h k l | 2θ/deg | Rel. int. |
| --- | --- | --- |
| 1 0 7 | 33.24 | 334 |
| 1 1 0 | 36.07 | 421 |
| 0 1 8 | 36.30 | 336 |
| 0 2 1 | 42.06 | 373 |
| 2 0 2 | 42.58 | 158 |
| 1 1 6 | 42.69 | 1000 |
| 0 0 12 | 45.01 | 176 |
| 2 0 5 | 46.09 | 135 |
| 3 0 6 | 69.43 | 319 |
| 2 2 0 | 76.51 | 206 |



# Sm3BiTe2
Computed X-ray powder pattern, Cu Ka. Input: a GGA-PBE-relaxed structure.
No peak broadening, texture or thermal motion is included.

```
data_Sm3BiTe2
_symmetry_space_group_name_H-M 'P -3 m 1'
_symmetry_Int_Tables_number 164
_symmetry_space_group_name_Hall '-P 3 2"'
_cell_length_a 4.4782
_cell_length_b 4.4782
_cell_length_c 10.9552
_cell_angle_alpha 90.00
_cell_angle_beta 90.00
_cell_angle_gamma 120.00
loop_
_atom_site_label
_atom_site_fract_x
_atom_site_fract_y
_atom_site_fract_z
Sm1 0.0000 0.0000 0.0000
Sm2 0.3333 0.6667 0.6684
Bi1 0.0000 0.0000 0.5000
Te1 0.3333 0.6667 0.1651
```

The 10 most intense peaks (10° ≤ 2θ ≤ 90°), low angle first:
| h k l | 2θ/deg | Rel. int. |
| --- | --- | --- |
| 1 0 0 | 22.93 | 13 |
| 0 1 1 | 24.35 | 13 |
| 0 1 2 | 28.19 | 1000 |
| 1 0 3 | 33.71 | 11 |
| 1 1 0 | 40.30 | 768 |
| 2 0 2 | 49.90 | 278 |
| 0 2 4 | 58.30 | 131 |
| 1 2 2 | 66.00 | 360 |
| 3 0 0 | 73.25 | 267 |
| 2 2 0 | 87.09 | 87 |



# Ga2Pd5
Computed X-ray powder pattern, Cu Ka. Input: a GGA-PBE-relaxed structure.
No peak broadening, texture or thermal motion is included.

```
data_Ga2Pd5
_symmetry_space_group_name_H-M 'P n m a'
_symmetry_Int_Tables_number 62
_symmetry_space_group_name_Hall '-P 2ac 2n'
_cell_length_a 5.5139
_cell_length_b 4.1228
_cell_length_c 18.6501
_cell_angle_alpha 90.00
_cell_angle_beta 90.00
_cell_angle_gamma 90.00
loop_
_atom_site_label
_atom_site_fract_x
_atom_site_fract_y
_atom_site_fract_z
Ga1 0.1683 0.2500 0.1766
Ga2 0.2025 0.2500 0.4563
Pd1 0.0323 0.2500 0.5881
Pd2 0.0335 0.2500 0.8820
Pd3 0.1356 0.2500 0.7337
Pd4 0.1668 0.2500 0.3201
Pd5 0.1698 0.2500 0.0307
```

The 10 most intense peaks (10° ≤ 2θ ≤ 90°), low angle first:
| h k l | 2θ/deg | Rel. int. |
| --- | --- | --- |
| 1 0 7 | 37.49 | 133 |
| 2 0 4 | 37.91 | 155 |
| 2 1 0 | 39.31 | 684 |
| 2 1 1 | 39.62 | 265 |
| 0 1 7 | 40.30 | 1000 |
| 2 1 3 | 42.02 | 298 |
| 0 2 0 | 43.92 | 600 |
| 2 0 7 | 47.46 | 317 |
| 2 2 7 | 66.64 | 223 |
| 0 3 7 | 78.28 | 137 |



# CuH2CN2Cl
Computed X-ray powder pattern, Cu Ka. Input: a GGA-PBE-relaxed structure.
No peak broadening, texture or thermal motion is included.

```
data_CuH2CN2Cl
_symmetry_space_group_name_H-M 'P n m a'
_symmetry_Int_Tables_number 62
_symmetry_space_group_name_Hall '-P 2ac 2n'
_cell_length_a 9.1117
_cell_length_b 3.8600
_cell_length_c 12.2689
_cell_angle_alpha 90.00
_cell_angle_beta 90.00
_cell_angle_gamma 90.00
loop_
_atom_site_label
_atom_site_fract_x
_atom_site_fract_y
_atom_site_fract_z
Cu1 0.0344 0.2500 0.0571
H1 0.1930 0.2500 0.6951
H2 0.2116 0.2500 0.5497
C1 0.1219 0.7500 0.4046
N1 0.0070 0.2500 0.6068
N2 0.1499 0.2500 0.6187
Cl1 0.0050 0.7500 0.1425
```

The 10 most intense peaks (10° ≤ 2θ ≤ 90°), low angle first:
| h k l | 2θ/deg | Rel. int. |
| --- | --- | --- |
| 1 0 1 | 12.10 | 1000 |
| 0 0 2 | 14.44 | 275 |
| 2 0 0 | 19.48 | 583 |
| 2 0 2 | 24.34 | 102 |
| 0 0 4 | 29.06 | 176 |
| 3 0 1 | 30.32 | 248 |
| 1 1 4 | 38.78 | 291 |
| 0 1 5 | 43.71 | 135 |
| 2 1 5 | 48.29 | 236 |
| 1 2 1 | 48.78 | 99 |



# NdScSb
Computed X-ray powder pattern, Cu Ka. Input: a GGA-PBE-relaxed structure.
No peak broadening, texture or thermal motion is included.

```
data_NdScSb
_symmetry_space_group_name_H-M 'P 4/n m m'
_symmetry_Int_Tables_number 129
_cell_length_a 4.4258
_cell_length_b 4.4258
_cell_length_c 8.3418
_cell_angle_alpha 90.00
_cell_angle_beta 90.00
_cell_angle_gamma 90.00
loop_
_symmetry_equiv_pos_as_xyz
'x,y,z'
'-x,-y,-z'
'-y+1/2,x,z'
'y+1/2,-x,-z'
'-x+1/2,-y+1/2,z'
'x+1/2,y+1/2,-z'
'y,-x+1/2,z'
'-y,x+1/2,-z'
'x+1/2,-y,-z'
'-x+1/2,y,z'
'-y,-x,-z'
'y,x,z'
'-x,y+1/2,-z'
'x,-y+1/2,z'
'y+1/2,x+1/2,-z'
'-y+1/2,-x+1/2,z'
loop_
_atom_site_label
_atom_site_fract_x
_atom_site_fract_y
_atom_site_fract_z
Nd1 0.2500 0.2500 0.1501
Sc1 0.2500 0.7500 0.5000
Sb1 0.2500 0.2500 0.7541
```

The 10 most intense peaks (10° ≤ 2θ ≤ 90°), low angle first:
| h k l | 2θ/deg | Rel. int. |
| --- | --- | --- |
| 0 0 2 | 21.30 | 304 |
| 1 1 0 | 28.52 | 1000 |
| 1 0 2 | 29.43 | 654 |
| 1 1 1 | 30.51 | 617 |
| 1 1 2 | 35.87 | 996 |
| 1 0 3 | 38.23 | 514 |
| 2 0 0 | 40.78 | 754 |
| 2 1 3 | 57.12 | 314 |
| 1 0 5 | 59.18 | 364 |
| 2 1 5 | 74.36 | 370 |



# ReSi2P3O15
Computed X-ray powder pattern, Cu Ka. Input: a GGA-PBE-relaxed structure.
No peak broadening, texture or thermal motion is included.

```
data_ReSi2P3O15
_symmetry_space_group_name_H-M 'P -1'
_symmetry_Int_Tables_number 2
_symmetry_space_group_name_Hall '-P 1'
_cell_length_a 7.7738
_cell_length_b 7.7939
_cell_length_c 10.6944
_cell_angle_alpha 77.65
_cell_angle_beta 73.14
_cell_angle_gamma 60.13
loop_
_atom_site_label
_atom_site_fract_x
_atom_site_fract_y
_atom_site_fract_z
Re1 0.2027 0.2596 0.4348
Si1 0.0517 0.0193 0.8431
Si2 0.3383 0.3384 0.9768
P1 0.0209 0.6655 0.8205
P2 0.2973 0.5800 0.1781
P3 0.4552 0.9830 0.8230
O1 0.0000 0.0000 0.0000
O2 0.0000 0.5000 0.5000
O3 0.0070 0.3610 0.3066
O4 0.0997 0.1095 0.5264
O5 0.1159 0.8124 0.7873
O6 0.1418 0.8010 0.2131
O7 0.1676 0.4654 0.8745
O8 0.1791 0.2338 0.0775
O9 0.2149 0.5422 0.0771
O10 0.2447 0.0663 0.7854
O11 0.3074 0.4460 0.3035
O12 0.3834 0.2130 0.5170
O13 0.3840 0.0636 0.3062
O14 0.4655 0.1394 0.8776
O15 0.4789 0.8005 0.9199
O16 0.4931 0.4372 0.8784
```

The 10 most intense peaks (10° ≤ 2θ ≤ 90°), low angle first:
| h k l | 2θ/deg | Rel. int. |
| --- | --- | --- |
| 1 1 0 | 13.74 | 1000 |
| 1 1 1 | 13.95 | 608 |
| 1 0 1 | 14.35 | 444 |
| 1 1 -1 | 18.31 | 324 |
| 1 -1 0 | 22.91 | 348 |
| -1 1 1 | 25.19 | 794 |
| 1 0 3 | 26.78 | 211 |
| 1 -1 2 | 27.71 | 293 |
| -1 1 2 | 30.00 | 230 |
| 2 2 -1 | 31.47 | 207 |



# Li2Cu7
Computed X-ray powder pattern, Cu Ka. Input: a GGA-PBE-relaxed structure.
No peak broadening, texture or thermal motion is included.

```
data_Li2Cu7
_symmetry_space_group_name_H-M 'P -1'
_symmetry_Int_Tables_number 2
_symmetry_space_group_name_Hall '-P 1'
_cell_length_a 4.4387
_cell_length_b 4.4389
_cell_length_c 5.3348
_cell_angle_alpha 86.15
_cell_angle_beta 75.52
_cell_angle_gamma 89.45
loop_
_atom_site_label
_atom_site_fract_x
_atom_site_fract_y
_atom_site_fract_z
Li1 0.2224 0.4405 0.1149
Cu1 0.0000 0.0000 0.0000
Cu2 0.1108 0.2196 0.5592
Cu3 0.3326 0.6687 0.6620
Cu4 0.4452 0.8873 0.2190
```

The 10 most intense peaks (10° ≤ 2θ ≤ 90°), low angle first:
| h k l | 2θ/deg | Rel. int. |
| --- | --- | --- |
| 0 0 1 | 17.21 | 397 |
| 0 1 0 | 20.05 | 446 |
| 0 1 1 | 25.63 | 258 |
| 1 -1 2 | 42.55 | 1000 |
| 0 2 1 | 43.38 | 946 |
| 1 0 -2 | 45.33 | 826 |
| 2 1 1 | 45.90 | 812 |
| 2 -1 0 | 46.86 | 747 |
| 1 2 -1 | 52.71 | 531 |
| 1 1 3 | 55.06 | 444 |